(1)
For Rb3Rh, a structure optimized by DFT (PBE) gives the calculated powder XRD pattern in this record (Cu Kα X-rays).
Lines closer than 0.1° are merged.

Peak list (6 most intense, 15 to 90 degrees two-theta, by angle)
- (2 2 0), 29.6°, rel. 100.0
- (4 0 0), 42.3°, rel. 18.4
- (4 2 2), 52.5°, rel. 38.7
- (4 4 0), 61.4°, rel. 12.0
- (6 2 0), 69.6°, rel. 16.5
- (6 4 2), 84.9°, rel. 19.5

Atomic structure:
Cell lengths 8.544, 8.544, 8.544 Å; angles 90.00, 90.00, 90.00 degrees
Space group Fm-3m (No. 225)
Inequivalent atoms, fractional coordinates:
Rb (0.000, 0.000, 0.000) (multiplicity 4)
Rb (0.250, 0.250, 0.250) (multiplicity 8)
Rh (0.000, 0.000, 0.500) (multiplicity 4)

=====

(2)
For Nd2Mn2CuSi3, a structure optimized by DFT (PBE) gives the calculated powder XRD pattern in this record (Cu Kα X-rays).
Lines closer than 0.1° are merged.

Peak list (6 most intense, 15 to 90 degrees two-theta, by angle)
- (0 1 5), 33.0°, rel. 43.8
- (1 1 3), 34.7°, rel. 100.0
- (0 2 0), 43.9°, rel. 22.2
- (2 0 0), 45.7°, rel. 19.7
- (1 0 8), 46.3°, rel. 20.8
- (1 2 8), 65.6°, rel. 19.1

Atomic structure:
Cell lengths 3.973, 4.127, 18.054 Å; angles 90.00, 90.00, 90.00 degrees
Space group Amm2 (No. 38)
Inequivalent atoms, fractional coordinates:
Nd (0.000, 0.000, 0.000) (multiplicity 2)
Nd (0.500, 0.000, 0.200) (multiplicity 2)
Mn (0.000, 0.000, 0.349) (multiplicity 2)
Mn (0.500, 0.000, 0.849) (multiplicity 2)
Cu (0.500, 0.000, 0.434) (multiplicity 2)
Si (0.000, 0.000, 0.636) (multiplicity 2)
Si (0.000, 0.000, 0.773) (multiplicity 2)
Si (0.500, 0.000, 0.564) (multiplicity 2)

=====

(3)
For Ba2PrHfO6, a structure optimized by DFT (PBE) gives the calculated powder XRD pattern in this record (Cu Kα X-rays).
Lines closer than 0.1° are merged.

Peak list (6 most intense, 15 to 90 degrees two-theta, by angle)
- (2 2 0), 28.6°, rel. 100.0
- (4 0 0), 40.9°, rel. 28.9
- (4 2 2), 50.6°, rel. 41.5
- (4 4 0), 59.2°, rel. 18.5
- (6 2 0), 67.0°, rel. 18.6
- (6 4 2), 81.6°, rel. 21.8

Atomic structure:
Cell lengths 8.831, 8.831, 8.831 Å; angles 90.00, 90.00, 90.00 degrees
Space group Fm-3m (No. 225)
Inequivalent atoms, fractional coordinates:
Ba (0.250, 0.250, 0.250) (multiplicity 8)
Pr (0.000, 0.000, 0.000) (multiplicity 4)
Hf (0.000, 0.000, 0.500) (multiplicity 4)
O (0.000, 0.000, 0.265) (multiplicity 24)